YHfInAu: simulated X-ray powder pattern (CuKα), based on the GGA-PBE geometry in Alexandria.
Kinematic intensities with the Lorentz-polarization factor, no thermal factor.

Structure:
abc: 7.1548 7.1548 7.1548
angles: 90.00 90.00 90.00
Space group F-43m (No. 216)
One atom of each set of equivalent atoms:
Y 0.0000 0.0000 0.0000
Hf 0.0000 0.0000 0.5000
In 0.2500 0.2500 0.7500
Au 0.2500 0.2500 0.2500

Top 6 peaks for 10° ≤ 2θ ≤ 90°, in order of rising 2θ:
2θ/deg, intensity
21.5, 9
35.5, 100
51.1, 18
63.7, 36
75.1, 11
85.9, 16